Al2GaCu7Ge2: theoretical XRD peak list (Cu Kα (λ = 1.5418 Å)), based on a crystal structure in Alexandria, relaxed with PBE.

The 6 most intense peaks (5 to 70 degrees two-theta), sorted by position:
2θ 40.0, d 2.252, rel. 44, (0 2 3); 2θ 41.7, d 2.166, rel. 100, (2 0 3); 2θ 45.3, d 2.002, rel. 30, (0 2 4); 2θ 47.1, d 1.928, rel. 30, (0 0 6); 2θ 47.8, d 1.904, rel. 28, (2 2 0); 2θ 48.4, d 1.879, rel. 28, (2 2 -1)

Cell and atoms:
```
data_Al2GaCu7Ge2
_chemical_formula_sum 'Al4 Ga2 Cu14 Ge4'
_space_group_name_H-M_alt 'C 1 2/m 1'
_space_group_IT_number 12
_space_group_name_Hall '-C 2y'
_cell_length_a 5.238
_cell_length_b 5.548
_cell_length_c 11.567
_cell_angle_alpha 90.00
_cell_angle_beta 90.07
_cell_angle_gamma 90.00
loop_
_atom_site_label
_atom_site_type_symbol
_atom_site_fract_x
_atom_site_fract_y
_atom_site_fract_z
Al1 Al 0.000 0.000 0.188
Ga1 Ga 0.000 0.500 0.500
Cu1 Cu 0.000 0.000 0.500
Cu2 Cu 0.247 0.000 0.000
Cu3 Cu 0.249 0.250 0.342
Ge1 Ge 0.000 0.500 0.186
```